Structure and computed powder diffractogram of Np2Se5 (the PBE geometry in Alexandria; Cu Kα).
No peak broadening, texture or thermal motion is included.

Unit cell a=4.042 b=40.786 c=4.043 alpha=90.00 beta=90.00 gamma=90.00
Space group Cmcm (No. 63)
Asymmetric unit:
1 Np 0.000 0.102 0.250 x4
2 Np 0.000 0.305 0.250 x4
3 Se 0.000 0.049 0.750 x4
4 Se 0.000 0.177 0.250 x4
5 Se 0.000 0.250 0.750 x4
6 Se 0.000 0.378 0.250 x4
7 Se 0.000 0.451 0.750 x4

Top 10 peaks for 10° ≤ 2θ ≤ 90°, by angle:
two_theta, Rel. int.
23.7, 49
24.6, 71
30.7, 42
31.4, 87
33.2, 93
37.2, 100
38.1, 35
39.8, 92
40.0, 48
44.8, 96